No. 1
LaDySbF2: calculated powder XRD pattern (Cu Kα (λ = 1.5418 Å)), based on a cell relaxed with GGA-PBE.

Cell and atoms:
a b c (Å): 4.1456 4.1456 7.1934
angles (deg): 90.00 90.00 120.00
Space group P3m1 (No. 156)
Inequivalent atoms, fractional coordinates:
1 La 0.0000 0.0000 0.0000 [1 per cell]
2 Dy 0.6667 0.3333 0.4660 [1 per cell]
3 Sb 0.3333 0.6667 0.7178 [1 per cell]
4 F 0.0000 0.0000 0.3458 [1 per cell]
5 F 0.6667 0.3333 0.1481 [1 per cell]

The 10 most intense peaks (2θ from 10° to 90°), low angle first:
Position (°2θ), d/Å, intensity, (hkl)
27.77, 3.212, 100, 1 0 1
35.32, 2.541, 46, 0 1 2
43.67, 2.073, 39, 1 1 0
45.49, 1.994, 29, 0 1 3
50.81, 1.797, 12, 0 0 4
52.54, 1.742, 17, 0 2 1
57.35, 1.607, 14, 2 0 2
69.16, 1.358, 13, 1 1 4
70.64, 1.333, 14, 2 1 1
74.77, 1.270, 12, 1 2 2

=====

No. 2
IrSe3Br9: calculated powder XRD pattern (Cu Kα (λ = 1.5418 Å)), based on a cell relaxed with GGA-PBE.

Cell and atoms:
a b c (Å): 7.9184 8.3589 13.3707
angles (deg): 81.97 85.42 67.64
Space group P-1 (No. 2)
Inequivalent atoms, fractional coordinates:
1 Ir 0.2245 0.2732 0.2517 [2 per cell]
2 Se 0.3510 0.3496 0.3874 [2 per cell]
3 Se 0.3670 0.4185 0.1249 [2 per cell]
4 Se 0.4656 0.9896 0.2487 [2 per cell]
5 Br 0.0769 0.4755 0.7529 [2 per cell]
6 Br 0.1076 0.1277 0.1317 [2 per cell]
7 Br 0.1238 0.0912 0.4000 [2 per cell]
8 Br 0.1592 0.6253 0.4343 [2 per cell]
9 Br 0.2414 0.7253 0.1418 [2 per cell]
10 Br 0.2456 0.4396 0.9641 [2 per cell]
11 Br 0.3328 0.0593 0.6151 [2 per cell]
12 Br 0.3392 0.9899 0.8938 [2 per cell]
13 Br 0.3872 0.5831 0.6816 [2 per cell]

The 10 most intense peaks (2θ from 10° to 90°), low angle first:
Position (°2θ), d/Å, intensity, (hkl)
12.63, 7.010, 79, 0 1 1
13.23, 6.694, 84, 1 1 0
13.38, 6.617, 55, 0 0 2
13.65, 6.487, 75, 1 0 1
14.00, 6.325, 96, 1 0 -1
29.03, 3.076, 57, 2 1 3
30.29, 2.951, 100, -1 2 1
31.35, 2.853, 55, -2 1 1
31.49, 2.841, 66, 2 2 -2
31.90, 2.806, 47, 2 1 -3

=====

No. 3
Y3MgIn2Au3: calculated powder XRD pattern (Cu Kα (λ = 1.5418 Å)), based on a cell relaxed with GGA-PBE.

Cell and atoms:
a b c (Å): 4.0065 13.4520 7.7014
angles (deg): 90.00 90.00 90.00
Space group Amm2 (No. 38)
Inequivalent atoms, fractional coordinates:
1 Y 0.0000 0.0000 0.0000 [2 per cell]
2 Y 0.0000 0.2043 0.6082 [4 per cell]
3 Mg 0.5000 0.0000 0.6578 [2 per cell]
4 In 0.5000 0.1298 0.2790 [4 per cell]
5 Au 0.0000 0.0000 0.4174 [2 per cell]
6 Au 0.5000 0.1620 0.8995 [4 per cell]

The 10 most intense peaks (2θ from 10° to 90°), low angle first:
Position (°2θ), d/Å, intensity, (hkl)
22.95, 3.875, 52, 0 3 1
25.91, 3.439, 70, 1 2 0
32.14, 2.785, 49, 1 3 1
32.24, 2.776, 59, 1 0 2
34.83, 2.576, 100, 1 4 0
34.96, 2.566, 95, 1 2 2
40.49, 2.228, 73, 0 3 3
42.17, 2.143, 67, 1 4 2
42.35, 2.134, 44, 1 1 3
45.27, 2.003, 47, 2 0 0

=====

No. 4
Sb7Os3: calculated powder XRD pattern (Cu Kα (λ = 1.5418 Å)), based on a cell relaxed with GGA-PBE.

Cell and atoms:
a b c (Å): 9.6255 9.6255 9.6255
angles (deg): 90.00 90.00 90.00
Space group Im-3m (No. 229)
Inequivalent atoms, fractional coordinates:
1 Sb 0.0000 0.2500 0.5000 [12 per cell]
2 Sb 0.1637 0.1637 0.1637 [16 per cell]
3 Os 0.0000 0.0000 0.3426 [12 per cell]

The 10 most intense peaks (2θ from 10° to 90°), low angle first:
Position (°2θ), d/Å, intensity, (hkl)
18.44, 4.813, 9, 2 0 0
22.63, 3.930, 29, 2 1 1
32.22, 2.779, 34, 2 2 2
34.88, 2.573, 25, 3 2 1
39.73, 2.269, 100, 3 3 0
46.20, 1.965, 19, 4 2 2
57.44, 1.604, 20, 6 0 0
62.54, 1.485, 16, 5 4 1
72.11, 1.310, 36, 6 3 3
81.18, 1.185, 18, 7 4 1

=====

No. 5
Dy2Ni4B4Ir: calculated powder XRD pattern (Cu Kα (λ = 1.5418 Å)), based on a cell relaxed with GGA-PBE.

Cell and atoms:
a b c (Å): 4.9949 9.3396 11.5576
angles (deg): 90.00 90.00 90.00
Space group Fmmm (No. 69)
Inequivalent atoms, fractional coordinates:
1 Dy 0.0000 0.0000 0.1458 [8 per cell]
2 Ni 0.2500 0.2500 0.0000 [8 per cell]
3 Ni 0.2500 0.2500 0.2500 [8 per cell]
4 B 0.0000 0.1631 0.3681 [16 per cell]
5 Ir 0.0000 0.0000 0.5000 [4 per cell]

The 10 most intense peaks (2θ from 10° to 90°), low angle first:
Position (°2θ), d/Å, intensity, (hkl)
19.00, 4.670, 18, 0 2 0
30.84, 2.900, 100, 1 1 3
36.57, 2.457, 16, 0 2 4
38.56, 2.335, 35, 0 4 0
40.98, 2.202, 60, 2 2 0
41.44, 2.179, 53, 1 3 3
57.89, 1.593, 17, 1 5 3
61.48, 1.508, 14, 3 1 3
68.40, 1.372, 15, 3 3 3
71.41, 1.321, 12, 2 6 0

=====

No. 6
Tb3Zn2Si4Au2: calculated powder XRD pattern (Cu Kα (λ = 1.5418 Å)), based on a cell relaxed with GGA-PBE.

Cell and atoms:
a b c (Å): 4.0440 4.2039 25.0431
angles (deg): 90.00 90.00 90.00
Space group Immm (No. 71)
Inequivalent atoms, fractional coordinates:
1 Tb 0.0000 0.0000 0.0000 [2 per cell]
2 Tb 0.0000 0.5000 0.1463 [4 per cell]
3 Zn 0.0000 0.0000 0.2510 [4 per cell]
4 Si 0.0000 0.0000 0.4533 [4 per cell]
5 Si 0.0000 0.5000 0.3084 [4 per cell]
6 Au 0.0000 0.5000 0.4049 [4 per cell]

The 10 most intense peaks (2θ from 10° to 90°), low angle first:
Position (°2θ), d/Å, intensity, (hkl)
28.37, 3.146, 20, 1 0 5
30.68, 2.914, 14, 1 1 0
33.44, 2.680, 36, 1 0 7
33.93, 2.642, 100, 1 1 4
38.81, 2.320, 14, 0 1 9
43.03, 2.102, 21, 0 2 0
44.82, 2.022, 19, 2 0 0
45.30, 2.002, 23, 0 1 11
55.57, 1.654, 17, 1 2 7
65.63, 1.423, 15, 2 1 11

=====

No. 7
ZrAgPd2: calculated powder XRD pattern (Cu Kα (λ = 1.5418 Å)), based on a cell relaxed with GGA-PBE.

Cell and atoms:
a b c (Å): 6.5152 6.5152 6.5152
angles (deg): 90.00 90.00 90.00
Space group F-43m (No. 216)
Inequivalent atoms, fractional coordinates:
1 Zr 0.0000 0.0000 0.0000 [4 per cell]
2 Ag 0.2500 0.2500 0.2500 [4 per cell]
3 Pd 0.0000 0.0000 0.5000 [4 per cell]
4 Pd 0.2500 0.2500 0.7500 [4 per cell]

The 4 most intense peaks (2θ from 10° to 90°), low angle first:
Position (°2θ), d/Å, intensity, (hkl)
39.11, 2.303, 100, 2 2 0
56.50, 1.629, 17, 4 0 0
70.86, 1.330, 33, 4 2 2
84.03, 1.152, 10, 4 4 0

=====

No. 8
ThZn: calculated powder XRD pattern (Cu Kα (λ = 1.5418 Å)), based on a cell relaxed with GGA-PBE.

Cell and atoms:
a b c (Å): 7.2870 5.3047 7.7706
angles (deg): 90.00 103.87 90.00
Space group P2_1/m (No. 11)
Inequivalent atoms, fractional coordinates:
1 Th 0.0477 0.2500 0.1680 [2 per cell]
2 Th 0.2176 0.2500 0.7586 [2 per cell]
3 Th 0.3119 0.7500 0.1815 [2 per cell]
4 Zn 0.1805 0.7500 0.5249 [2 per cell]
5 Zn 0.4310 0.2500 0.4431 [2 per cell]
6 Zn 0.4669 0.7500 0.8513 [2 per cell]

The 10 most intense peaks (2θ from 10° to 90°), low angle first:
Position (°2θ), d/Å, intensity, (hkl)
23.59, 3.772, 28, 0 0 2
29.34, 3.044, 38, 1 1 -2
30.35, 2.946, 42, 2 1 -1
33.79, 2.652, 62, 0 2 0
34.72, 2.584, 73, 2 1 -2
34.86, 2.574, 100, 2 1 1
35.70, 2.515, 28, 0 0 3
50.01, 1.824, 41, 4 0 -1
61.04, 1.518, 18, 2 3 -2
61.14, 1.516, 20, 2 3 1

=====

Q: What is the formula in the first record?
A: LaDySbF2